Diffraction record for CsLaGeSb2. The PXRD pattern is calculated, not measured: it uses a cell relaxed with PBE and copper Kα.
Lines closer than 0.1° are merged.

Principal peaks in the range 2θ from 5° to 70°, by angle:
2θ (°)	I (rel.)
16.32	16
22.11	46
26.72	82
29.88	100
32.99	38
37.49	23
42.77	37
45.10	64
51.15	27
55.05	35

Structure:
Cell lengths 5.980, 5.980, 5.431 Å; angles 90.00, 90.00, 90.00 degrees
Space group P4/mmm (No. 123)
Inequivalent atoms, fractional coordinates:
1 Cs 0.000 0.000 0.000
2 La 0.500 0.500 0.500
3 Ge 0.000 0.000 0.500
4 Sb 0.000 0.500 0.000

***

Diffraction record for NaBi2PbSe. The PXRD pattern is calculated, not measured: it uses a cell relaxed with PBE and copper Kα.
Lines closer than 0.1° are merged.

Principal peaks in the range 2θ from 5° to 70°, by angle:
2θ (°)	I (rel.)
23.56	8
28.46	100
31.79	44
35.26	17
45.58	16
48.20	28
54.61	34
58.90	15
59.18	14
66.43	6

Structure:
Cell lengths 5.630, 5.630, 5.091 Å; angles 90.00, 90.00, 90.00 degrees
Space group P4/mmm (No. 123)
Inequivalent atoms, fractional coordinates:
1 Na 0.000 0.000 0.000
2 Bi 0.000 0.500 0.000
3 Pb 0.500 0.500 0.500
4 Se 0.000 0.000 0.500

***

Diffraction record for TaBeCu. The PXRD pattern is calculated, not measured: it uses a cell relaxed with PBE and copper Kα.
Lines closer than 0.1° are merged.

Principal peaks in the range 2θ from 5° to 70°, by angle:
2θ (°)	I (rel.)
19.75	26
23.05	42
26.65	73
28.20	30
31.26	37
34.46	37
40.69	100
42.77	89
48.32	60
49.10	30

Structure:
Cell lengths 5.530, 3.711, 7.718 Å; angles 90.00, 90.00, 90.00 degrees
Space group Pnma (No. 62)
Inequivalent atoms, fractional coordinates:
1 Ta 0.142 0.250 0.089
2 Be 0.085 0.250 0.736
3 Cu 0.122 0.250 0.419

***

Diffraction record for Ca2Al2O5. The PXRD pattern is calculated, not measured: it uses a cell relaxed with PBE and copper Kα.
Lines closer than 0.1° are merged.

Principal peaks in the range 2θ from 5° to 70°, by angle:
2θ (°)	I (rel.)
12.19	32
24.72	28
33.23	100
33.87	43
34.33	31
41.73	38
44.52	25
47.00	33
48.38	28
50.27	24

Structure:
Cell lengths 7.525, 7.733, 14.519 Å; angles 90.00, 90.00, 90.00 degrees
Space group Fmmm (No. 69)
Inequivalent atoms, fractional coordinates:
1 Ca 0.000 0.225 0.143
2 Al 0.176 0.000 0.500
3 Al 0.250 0.000 0.250
4 O 0.000 0.000 0.262
5 O 0.000 0.163 0.500
6 O 0.217 0.000 0.108
7 O 0.250 0.250 0.250

***

Diffraction record for MgGa2I6. The PXRD pattern is calculated, not measured: it uses a cell relaxed with PBE and copper Kα.
Lines closer than 0.1° are merged.

Principal peaks in the range 2θ from 5° to 70°, by angle:
2θ (°)	I (rel.)
14.15	13
21.49	39
26.18	100
32.30	18
40.68	29
41.90	24
47.56	21
50.08	12
50.45	9
61.29	8

Structure:
Cell lengths 7.4686, 7.4686, 24.8121 Å; angles 90.00, 90.00, 120.00 degrees
Space group R3 (No. 146, hexagonal axes)
Inequivalent atoms, fractional coordinates:
1 Mg 0.0000 0.0000 0.0000
2 Ga 0.0000 0.0000 0.6186
3 Ga 0.0000 0.0000 0.7150
4 I 0.0387 0.3549 0.5860
5 I 0.0389 0.6838 0.7474

***

Diffraction record for Cu6Si7. The PXRD pattern is calculated, not measured: it uses a cell relaxed with PBE and copper Kα.
Lines closer than 0.1° are merged.

Principal peaks in the range 2θ from 5° to 70°, by angle:
2θ (°)	I (rel.)
9.96	17
34.19	50
36.56	100
40.64	17
42.02	82
42.62	26
49.04	29
49.36	17
50.92	37
65.82	17

Structure:
Cell lengths 4.9150, 4.9150, 26.6394 Å; angles 90.00, 90.00, 120.00 degrees
Space group R-3m (No. 166, hexagonal axes)
Inequivalent atoms, fractional coordinates:
1 Cu 0.0000 0.0000 0.0510
2 Cu 0.0000 0.0000 0.1769
3 Cu 0.0000 0.0000 0.3319
4 Si 0.0000 0.0000 0.5000
5 Si 0.0021 0.5011 0.0807

***

Diffraction record for Zn6NiRh. The PXRD pattern is calculated, not measured: it uses a cell relaxed with PBE and copper Kα.
Lines closer than 0.1° are merged.

Principal peaks in the range 2θ from 5° to 70°, by angle:
2θ (°)	I (rel.)
16.58	4
21.61	4
32.16	2
40.49	100
41.48	91
44.03	1
47.26	63
48.55	29
57.23	1
67.67	10

Structure:
Cell lengths 5.538, 7.501, 10.693 Å; angles 90.00, 90.00, 90.00 degrees
Space group Fmmm (No. 69)
Inequivalent atoms, fractional coordinates:
1 Zn 0.000 0.000 0.247
2 Zn 0.250 0.250 0.119
3 Ni 0.000 0.000 0.000
4 Rh 0.000 0.000 0.500

***

Diffraction record for LiTl3Se2O6. The PXRD pattern is calculated, not measured: it uses a cell relaxed with PBE and copper Kα.
Lines closer than 0.1° are merged.

Principal peaks in the range 2θ from 5° to 70°, by angle:
2θ (°)	I (rel.)
20.98	77
29.59	100
30.08	91
36.55	31
42.70	48
47.71	19
48.37	20
52.50	21
52.81	38
69.90	18

Structure:
Cell lengths 6.0379, 6.0379, 7.2192 Å; angles 90.00, 90.00, 120.00 degrees
Space group P-3m1 (No. 164)
Inequivalent atoms, fractional coordinates:
1 Li 0.0000 0.0000 0.0000
2 Tl 0.0000 0.0000 0.5000
3 Tl 0.3333 0.6667 0.1628
4 Se 0.3333 0.6667 0.7064
5 O 0.1835 0.3670 0.8078

***

Diffraction record for NdY7Ho12. The PXRD pattern is calculated, not measured: it uses a cell relaxed with PBE and copper Kα.
Lines closer than 0.1° are merged.

Principal peaks in the range 2θ from 5° to 70°, by angle:
2θ (°)	I (rel.)
15.77	25
27.50	100
31.86	96
35.74	13
45.68	70
48.62	7
54.15	46
56.77	24
66.58	11
68.91	4

Structure:
Cell lengths 11.236, 11.236, 11.236 Å; angles 90.00, 90.00, 90.00 degrees
Space group Im-3m (No. 229)
Inequivalent atoms, fractional coordinates:
1 Nd 0.000 0.000 0.000
2 Y 0.000 0.000 0.500
3 Y 0.250 0.250 0.250
4 Ho 0.000 0.255 0.255

***

Diffraction record for Y6MgTe8. The PXRD pattern is calculated, not measured: it uses a cell relaxed with PBE and copper Kα.
Lines closer than 0.1° are merged.

Principal peaks in the range 2θ from 5° to 70°, by angle:
2θ (°)	I (rel.)
14.39	5
20.40	5
25.06	14
29.01	100
32.53	3
41.49	75
49.09	7
51.42	26
60.13	12
68.12	33

Structure:
Cell lengths 12.311, 12.311, 12.311 Å; angles 90.00, 90.00, 90.00 degrees
Space group Fm-3m (No. 225)
Inequivalent atoms, fractional coordinates:
1 Y 0.000 0.250 0.250
2 Mg 0.000 0.000 0.000
3 Te 0.000 0.000 0.246
4 Te 0.250 0.250 0.250

***

Diffraction record for Tb4YTm10. The PXRD pattern is calculated, not measured: it uses a cell relaxed with PBE and copper Kα.
Lines closer than 0.1° are merged.

Principal peaks in the range 2θ from 5° to 70°, by angle:
2θ (°)	I (rel.)
12.04	26
12.92	22
25.42	23
29.14	67
31.51	100
33.27	39
34.29	25
41.67	20
44.80	21
57.54	21

Structure:
Cell lengths 9.692, 9.692, 11.274 Å; angles 90.00, 90.00, 90.00 degrees
Space group I4/m (No. 87)
Inequivalent atoms, fractional coordinates:
1 Tb 0.075 0.332 0.000
2 Y 0.000 0.000 0.500
3 Tm 0.000 0.500 0.250
4 Tm 0.117 0.229 0.338

***

Diffraction record for Pa2SiGe3. The PXRD pattern is calculated, not measured: it uses a cell relaxed with PBE and copper Kα.
Lines closer than 0.1° are merged.

Principal peaks in the range 2θ from 5° to 70°, by angle:
2θ (°)	I (rel.)
22.20	25
25.06	30
32.10	51
34.20	100
40.74	42
45.77	16
51.33	17
57.00	21
63.73	23
67.51	20

Structure:
Cell lengths 3.885, 3.965, 8.010 Å; angles 90.00, 90.00, 90.00 degrees
Space group Pmm2 (No. 25)
Inequivalent atoms, fractional coordinates:
1 Pa 0.000 0.000 0.000
2 Pa 0.000 0.500 0.478
3 Si 0.500 0.000 0.329
4 Ge 0.500 0.000 0.639
5 Ge 0.500 0.500 0.161
6 Ge 0.500 0.500 0.837

***

Diffraction record for Ce7Si2Sn2. The PXRD pattern is calculated, not measured: it uses a cell relaxed with PBE and copper Kα.
Lines closer than 0.1° are merged.

Principal peaks in the range 2θ from 5° to 70°, by angle:
2θ (°)	I (rel.)
24.78	43
26.24	100
29.77	64
31.10	29
31.79	78
37.53	39
37.74	80
40.72	22
42.45	21
48.86	20

Structure:
Cell lengths 8.519, 11.259, 6.690 Å; angles 90.00, 90.00, 90.00 degrees
Space group Cmmm (No. 65)
Inequivalent atoms, fractional coordinates:
1 Ce 0.000 0.000 0.000
2 Ce 0.000 0.500 0.246
3 Ce 0.250 0.250 0.292
4 Si 0.000 0.272 0.000
5 Sn 0.170 0.000 0.500